(1)
# Nd3Ho2In7
Simulated PXRD pattern, Cu Kα. Input: a structure optimized by DFT (PBE).

Structure:
```
Nd3Ho2In7
1.0
2.601 -12.670 0.000
2.601 12.670 0.000
0.000 0.000 5.416
Nd Ho In
3 2 7
direct
0.000 0.000 0.000
0.159 0.841 0.000
0.841 0.159 0.000
0.355 0.645 0.500
0.645 0.355 0.500
0.076 0.924 0.500
0.228 0.772 0.500
0.420 0.580 0.000
0.500 0.500 0.500
0.580 0.420 0.000
0.772 0.228 0.500
0.924 0.076 0.500
```

Main lines, low angle first (2θ = 10–90°):
Position (°2θ), I_rel
24.5, 5
26.0, 6
29.6, 14
33.1, 26
34.4, 100
48.5, 17
60.0, 15
61.7, 14
72.6, 5
81.4, 6


(2)
# LaDyHo3
Simulated PXRD pattern, Cu Kα. Input: a structure optimized by DFT (PBE).

Structure:
```
LaDyHo3
1.0
3.545 0.000 0.000
0.001 8.739 0.000
0.003 3.327 10.464
La Dy Ho
2 2 6
direct
0.249 0.099 0.342
0.751 0.901 0.658
0.250 0.123 0.849
0.750 0.877 0.151
0.250 0.510 0.246
0.250 0.682 0.472
0.250 0.689 0.938
0.750 0.311 0.062
0.750 0.318 0.528
0.750 0.490 0.754
```

Main lines, low angle first (2θ = 10–90°):
Position (°2θ), I_rel
30.5, 100
31.2, 67
31.6, 65
32.6, 70
33.2, 59
47.0, 23
47.4, 19
61.5, 19
61.7, 19
62.4, 19